Record 1
For Ca3SiCl2O4, a PBE-relaxed structure gives the simulated powder diffraction line list in this record (a wavelength of 1.5418 Å).
Intensities are scaled so that the largest is 100.

Principal peaks in the range 2θ = 10–90°, sorted by position:
two_theta  I (rel.)
16.86  40
26.00  35
26.12  78
30.99  82
31.26  72
32.76  100
45.62  39
45.78  48

Cell and atoms:
Cell lengths 9.9264, 6.8225, 10.9358 Å; angles 90.00, 105.74, 90.00 degrees
Space group P2_1/c (No. 14)
Asymmetric unit:
Ca  0.0751  0.2166  0.3890 (multiplicity 4)
Ca  0.3027  0.7413  0.4542 (multiplicity 4)
Ca  0.4213  0.0388  0.7282 (multiplicity 4)
Si  0.3813  0.2497  0.4702 (multiplicity 4)
Cl  0.0080  0.2012  0.6247 (multiplicity 4)
Cl  0.2138  0.6822  0.6811 (multiplicity 4)
O  0.2669  0.0832  0.8964 (multiplicity 4)
O  0.2806  0.0686  0.4944 (multiplicity 4)
O  0.4848  0.2019  0.3792 (multiplicity 4)
O  0.4864  0.1927  0.1100 (multiplicity 4)


Record 2
For LiAlGeO4, a PBE-relaxed structure gives the simulated powder diffraction line list in this record (a wavelength of 1.5418 Å).
Intensities are scaled so that the largest is 100.

Principal peaks in the range 2θ = 10–90°, sorted by position:
two_theta  I (rel.)
20.49  32
21.70  100
25.56  53
27.40  21
31.62  59
34.03  56
49.02  29
65.72  34

Cell and atoms:
Cell lengths 13.9421, 13.9421, 9.2875 Å; angles 90.00, 90.00, 120.00 degrees
Space group R3 (No. 146, hexagonal axes)
Asymmetric unit:
Li  0.0193  0.8101  0.0000 (multiplicity 9)
Li  0.1433  0.4576  0.1642 (multiplicity 9)
Al  0.0153  0.8044  0.6669 (multiplicity 9)
Al  0.1376  0.4526  0.8335 (multiplicity 9)
Ge  0.0180  0.8039  0.3315 (multiplicity 9)
Ge  0.1373  0.4555  0.4983 (multiplicity 9)
O  0.0020  0.3398  0.4992 (multiplicity 9)
O  0.0067  0.6718  0.3317 (multiplicity 9)
O  0.0754  0.8693  0.4994 (multiplicity 9)
O  0.0928  0.8814  0.8177 (multiplicity 9)
O  0.0965  0.8833  0.1821 (multiplicity 9)
O  0.2026  0.4604  0.6645 (multiplicity 9)
O  0.2117  0.0925  0.6810 (multiplicity 9)
O  0.2131  0.0970  0.3165 (multiplicity 9)


Record 3
For RbO3, a PBE-relaxed structure gives the simulated powder diffraction line list in this record (a wavelength of 1.5418 Å).
Intensities are scaled so that the largest is 100.

Principal peaks in the range 2θ = 10–90°, sorted by position:
two_theta  I (rel.)
19.89  38
21.58  48
27.87  81
28.91  58
31.08  100
32.40  42
35.35  42
43.99  44

Cell and atoms:
Cell lengths 6.6562, 6.1761, 9.0179 Å; angles 90.00, 123.88, 90.00 degrees
Space group P2_1/c (No. 14)
Asymmetric unit:
Rb  0.2235  0.2433  0.0854 (multiplicity 4)
O  0.1073  0.5626  0.7973 (multiplicity 4)
O  0.2905  0.7058  0.9001 (multiplicity 4)
O  0.3148  0.7429  0.5574 (multiplicity 4)


Record 4
For CeMg6Bi, a PBE-relaxed structure gives the simulated powder diffraction line list in this record (a wavelength of 1.5418 Å).
Intensities are scaled so that the largest is 100.

Principal peaks in the range 2θ = 10–90°, sorted by position:
two_theta  I (rel.)
14.89  96
22.84  31
22.98  39
30.05  20
31.52  45
34.84  100
35.23  37
38.10  24

Cell and atoms:
Cell lengths 5.1499, 6.9014, 11.7269 Å; angles 90.00, 90.00, 90.00 degrees
Space group Amm2 (No. 38)
Asymmetric unit:
Ce  0.0000  0.0000  0.0000 (multiplicity 2)
Mg  0.0000  0.0000  0.5093 (multiplicity 2)
Mg  0.0000  0.2385  0.2481 (multiplicity 4)
Mg  0.5000  0.0000  0.3382 (multiplicity 2)
Mg  0.5000  0.2330  0.5930 (multiplicity 4)
Bi  0.5000  0.0000  0.8326 (multiplicity 2)